# CsTlTe3
Theoretical XRD peak list, Cu Ka. Input: a structure optimized by DFT (GGA-PBE).
Neutral-atom scattering factors, no anomalous dispersion.

The 10 most intense peaks (2θ = 10–90°), low angle first:
- hkl 0 0 1, 10.1°, d = 8.759 Å, rel. 96
- hkl 1 1 1, 18.3°, d = 4.836 Å, rel. 71
- hkl 0 2 0, 22.9°, d = 3.887 Å, rel. 100
- hkl 1 0 2, 23.2°, d = 3.839 Å, rel. 63
- hkl 1 1 2, 24.3°, d = 3.669 Å, rel. 78
- hkl 1 0 -2, 26.0°, d = 3.428 Å, rel. 96
- hkl -1 1 2, 28.0°, d = 3.182 Å, rel. 64
- hkl 2 0 1, 28.5°, d = 3.135 Å, rel. 63
- hkl 1 2 -1, 29.2°, d = 3.057 Å, rel. 63
- hkl 1 2 -2, 35.6°, d = 2.523 Å, rel. 59

Structure:
abc: 6.4940 7.8643 8.8912
angles: 82.95 82.40 83.99
Space group P1 (No. 1)
One atom of each set of equivalent atoms:
Cs1 0.0000 0.0000 0.0000
Cs2 0.4383 0.5534 0.1498
Tl1 0.3172 0.4128 0.6285
Tl2 0.7543 0.1097 0.4763
Te1 0.1420 0.8590 0.4483
Te2 0.4500 0.0437 0.2647
Te3 0.5485 0.0090 0.7789
Te4 0.7504 0.6588 0.6724
Te5 0.9008 0.4510 0.4086
Te6 0.9710 0.5130 0.9144

# Cs2Tl3Te3
Theoretical XRD peak list, Cu Ka. Input: a structure optimized by DFT (GGA-PBE).
Neutral-atom scattering factors, no anomalous dispersion.

The 10 most intense peaks (2θ = 10–90°), low angle first:
- hkl 0 2 1, 11.5°, d = 7.672 Å, rel. 35
- hkl 1 1 0, 19.6°, d = 4.520 Å, rel. 35
- hkl 1 3 0, 24.7°, d = 3.611 Å, rel. 91
- hkl 0 4 3, 25.8°, d = 3.460 Å, rel. 43
- hkl 1 3 2, 26.6°, d = 3.349 Å, rel. 35
- hkl 0 0 6, 29.9°, d = 2.985 Å, rel. 53
- hkl 1 3 4, 31.8°, d = 2.811 Å, rel. 100
- hkl 1 5 3, 35.9°, d = 2.498 Å, rel. 60
- hkl 2 0 0, 38.4°, d = 2.345 Å, rel. 40
- hkl 1 7 3, 44.7°, d = 2.026 Å, rel. 30

Structure:
abc: 4.6892 16.9797 17.9119
angles: 90.00 90.00 90.00
Space group Cmcm (No. 63)
One atom of each set of equivalent atoms:
Cs1 0.0000 0.1683 0.1150
Tl1 0.0000 0.3542 0.2500
Tl2 0.0000 0.4708 0.0867
Te1 0.0000 0.1467 0.5990
Te2 0.0000 0.4588 0.7500

# Cs3Tm11Te18
Theoretical XRD peak list, Cu Ka. Input: a structure optimized by DFT (GGA-PBE).
Neutral-atom scattering factors, no anomalous dispersion.

The 10 most intense peaks (2θ = 10–90°), low angle first:
- hkl 5 1 -1, 26.3°, d = 3.391 Å, rel. 100
- hkl 5 1 1, 27.3°, d = 3.270 Å, rel. 16
- hkl 1 1 4, 27.6°, d = 3.230 Å, rel. 26
- hkl 0 0 7, 31.1°, d = 2.873 Å, rel. 13
- hkl 7 1 0, 31.3°, d = 2.861 Å, rel. 23
- hkl 3 1 5, 33.1°, d = 2.705 Å, rel. 43
- hkl 10 0 -2, 33.5°, d = 2.678 Å, rel. 13
- hkl 9 1 1, 37.8°, d = 2.382 Å, rel. 16
- hkl 0 2 0, 41.3°, d = 2.188 Å, rel. 30
- hkl 7 1 -7, 41.5°, d = 2.177 Å, rel. 44

Structure:
abc: 26.8887 4.3761 20.4290
angles: 90.00 100.09 90.00
Space group C2/m (No. 12)
One atom of each set of equivalent atoms:
Cs1 0.0000 0.0000 0.0000
Cs2 0.1954 0.5000 0.5923
Tm1 0.0000 0.5000 0.5000
Tm2 0.0325 0.0000 0.7584
Tm3 0.0926 0.0000 0.3724
Tm4 0.1536 0.5000 0.2250
Tm5 0.1622 0.5000 0.8188
Tm6 0.2038 0.0000 0.0718
Te1 0.0054 0.5000 0.3503
Te2 0.0607 0.5000 0.8595
Te3 0.0757 0.0000 0.2190
Te4 0.0802 0.0000 0.5151
Te5 0.1289 0.5000 0.0712
Te6 0.1345 0.0000 0.7192
Te7 0.1715 0.5000 0.3786
Te8 0.2088 0.0000 0.9228
Te9 0.2321 0.0000 0.2225

# CsUTe4
Theoretical XRD peak list, Cu Ka. Input: a structure optimized by DFT (GGA-PBE).
Neutral-atom scattering factors, no anomalous dispersion.

The 10 most intense peaks (2θ = 10–90°), low angle first:
- hkl 1 1 0, 18.2°, d = 4.883 Å, rel. 17
- hkl 1 1 2, 26.1°, d = 3.417 Å, rel. 100
- hkl 2 1 1, 30.4°, d = 2.939 Å, rel. 74
- hkl 2 0 2, 32.0°, d = 2.800 Å, rel. 57
- hkl 2 1 2, 34.6°, d = 2.595 Å, rel. 31
- hkl 3 1 0, 41.3°, d = 2.184 Å, rel. 52
- hkl 1 1 4, 42.1°, d = 2.148 Å, rel. 16
- hkl 2 1 4, 48.1°, d = 1.891 Å, rel. 24
- hkl 4 0 2, 56.7°, d = 1.624 Å, rel. 21
- hkl 3 3 2, 60.0°, d = 1.541 Å, rel. 20

Structure:
abc: 6.9061 6.9061 9.5684
angles: 90.00 90.00 90.00
Space group P4/nbm (No. 125, origin choice 2)
One atom of each set of equivalent atoms:
Cs1 0.2500 0.2500 0.0000
U1 0.2500 0.2500 0.5000
Te1 0.0994 0.5994 0.3125

# Cs2UTe5
Theoretical XRD peak list, Cu Ka. Input: a structure optimized by DFT (GGA-PBE).
Neutral-atom scattering factors, no anomalous dispersion.

The 10 most intense peaks (2θ = 10–90°), low angle first:
- hkl 0 1 1, 12.4°, d = 7.159 Å, rel. 62
- hkl 0 0 2, 14.2°, d = 6.255 Å, rel. 37
- hkl 1 0 1, 14.4°, d = 6.168 Å, rel. 36
- hkl 1 1 2, 21.5°, d = 4.132 Å, rel. 57
- hkl 0 2 2, 24.9°, d = 3.580 Å, rel. 75
- hkl 1 2 1, 25.0°, d = 3.563 Å, rel. 52
- hkl 0 0 4, 28.5°, d = 3.128 Å, rel. 63
- hkl 2 0 2, 29.0°, d = 3.084 Å, rel. 46
- hkl 2 2 0, 32.5°, d = 2.752 Å, rel. 100
- hkl 2 2 4, 43.8°, d = 2.066 Å, rel. 73

Structure:
abc: 7.0899 8.7301 12.5107
angles: 90.00 90.00 90.00
Space group Imm2 (No. 44)
One atom of each set of equivalent atoms:
Cs1 0.0000 0.0000 0.0000
Cs2 0.0000 0.0000 0.4477
U1 0.0000 0.5000 0.2442
Te1 0.0000 0.5000 0.4682
Te2 0.2214 0.2375 0.7152

# CsU6Te12
Theoretical XRD peak list, Cu Ka. Input: a structure optimized by DFT (GGA-PBE).
Neutral-atom scattering factors, no anomalous dispersion.

The 10 most intense peaks (2θ = 10–90°), low angle first:
- hkl 1 0 1, 10.8°, d = 8.207 Å, rel. 51
- hkl 2 1 1, 20.3°, d = 4.371 Å, rel. 68
- hkl 1 3 1, 26.7°, d = 3.337 Å, rel. 38
- hkl 1 1 3, 27.7°, d = 3.225 Å, rel. 27
- hkl 3 2 1, 31.9°, d = 2.803 Å, rel. 80
- hkl 0 3 3, 32.8°, d = 2.733 Å, rel. 100
- hkl 0 2 4, 36.2°, d = 2.480 Å, rel. 40
- hkl 0 5 1, 36.5°, d = 2.463 Å, rel. 29
- hkl 3 3 0, 36.9°, d = 2.435 Å, rel. 37
- hkl 5 0 2, 39.3°, d = 2.291 Å, rel. 64

Structure:
abc: 14.6087 14.6087 10.7844
angles: 90.00 90.00 120.00
Space group R-3m (No. 166, hexagonal axes)
One atom of each set of equivalent atoms:
Cs1 0.0000 0.0000 0.0000
U1 0.0631 0.5315 0.2676
Te1 0.0000 0.3733 0.5000
Te2 0.0861 0.1721 0.3446